Calculated powder diffraction line list of Ho5Tl3 for copper Kα, from a cell relaxed with PBE.
Kinematic intensities with the Lorentz-polarization factor, no thermal factor.

Crystal structure
Lattice parameters (Å, degrees): 9.1455 9.1455 9.1455 128.06 128.06 76.53
Positions (direct):
Ho  0.0000  0.0000  0.0000
Ho  0.0094  0.5094  0.8215
Ho  0.1878  0.0094  0.5000
Ho  0.3122  0.8122  0.8215
Ho  0.4906  0.3122  0.5000
Ho  0.5000  0.5000  0.0000
Ho  0.5094  0.6878  0.5000
Ho  0.6878  0.1878  0.1785
Ho  0.8122  0.9906  0.5000
Ho  0.9906  0.4906  0.1785
Tl  0.1352  0.3648  0.5000
Tl  0.2500  0.2500  0.0000
Tl  0.3648  0.8648  0.2295
Tl  0.6352  0.1352  0.7705
Tl  0.7500  0.7500  0.0000
Tl  0.8648  0.6352  0.5000

Peak list (12 most intense, 2θ from 10° to 80°, low angle first)
2θ (°)	intensity
29.46	10.8
31.18	100.0
31.59	9.8
33.52	19.7
35.44	51.0
37.58	11.0
50.71	10.4
52.61	8.7
62.67	8.4
63.52	9.9
63.86	8.4
65.74	15.7